[1]
# NiAs2
Calculated X-ray diffraction stick pattern, λ = 1.5418 Å (Cu Kα). Input: a GGA-PBE-relaxed structure.

Peak list (10 most intense, 5 to 70 degrees two-theta, low angle first)
index	d/Å	I (rel.)
1 0 1	2.870	64
1 1 1	2.575	100
1 2 0	2.484	83
1 2 1	2.045	16
2 1 1	1.878	77
0 0 2	1.799	47
0 3 1	1.710	41
1 3 1	1.609	16
3 1 0	1.530	18
1 2 2	1.458	34

Atomic structure:
Cell lengths 4.7547, 5.8278, 3.5997 Å; angles 90.00, 90.00, 90.00 degrees
Space group Pnnm (No. 58)
One atom of each set of equivalent atoms:
Ni (0.0000, 0.0000, 0.0000) [2 per cell]
As (0.2070, 0.3687, 0.0000) [4 per cell]


[2]
# CsNbF6
Calculated X-ray diffraction stick pattern, λ = 1.5418 Å (Cu Kα). Input: a GGA-PBE-relaxed structure.

Peak list (10 most intense, 5 to 70 degrees two-theta, low angle first)
index	d/Å	I (rel.)
1 1 0	4.058	100
0 1 2	3.600	75
2 0 2	2.693	22
2 1 1	2.532	13
3 0 0	2.343	15
3 -2 2	2.244	61
2 2 0	2.029	12
4 -1 2	1.767	14
2 1 4	1.645	23
1 4 0	1.534	15

Atomic structure:
Cell lengths 8.1152, 8.1152, 8.3827 Å; angles 90.00, 90.00, 120.00 degrees
Space group R-3 (No. 148, hexagonal axes)
One atom of each set of equivalent atoms:
Cs (0.0000, 0.0000, 0.0000) [3 per cell]
Nb (0.0000, 0.0000, 0.5000) [3 per cell]
F (0.0624, 0.2172, 0.6360) [18 per cell]